No. 1
Structure and simulated PXRD pattern of Y8ZnGa3Te4 (a structure optimized by DFT (PBE); Cu Kα X-rays).
No peak broadening, texture or thermal motion is included.

Principal peaks in the range 2θ = 10–90°, in order of rising 2θ:
| Position (°2θ) | Rel. int. |
| --- | --- |
| 29.6 | 100 |
| 40.6 | 41 |
| 44.1 | 33 |
| 48.0 | 8 |
| 54.1 | 18 |
| 61.5 | 12 |
| 67.2 | 17 |
| 71.5 | 7 |
| 72.3 | 15 |
| 78.8 | 11 |
| 81.2 | 5 |
| 88.0 | 4 |

```
data_Y8ZnGa3Te4
_chemical_formula_sum 'Y24 Zn3 Ga9 Te12'
_symmetry_space_group_name_H-M 'R -3 m'
_symmetry_Int_Tables_number 166
_symmetry_space_group_name_Hall '-R 3 2"'
_cell_length_a 8.2080
_cell_length_b 8.2080
_cell_length_c 22.7449
_cell_angle_alpha 90.00
_cell_angle_beta 90.00
_cell_angle_gamma 120.00
loop_
_atom_site_label
_atom_site_type_symbol
_atom_site_fract_x
_atom_site_fract_y
_atom_site_fract_z
Y1 Y 0.0000 0.0000 0.2447
Y2 Y 0.0015 0.5008 0.7544
Zn1 Zn 0.0000 0.0000 0.5000
Ga1 Ga 0.0000 0.5000 0.5000
Te1 Te 0.0000 0.0000 0.0000
Te2 Te 0.0000 0.5000 0.0000
```



No. 2
Structure and simulated PXRD pattern of YbGa6Te10 (a structure optimized by DFT (PBE); Cu Kα X-rays).
No peak broadening, texture or thermal motion is included.

Principal peaks in the range 2θ = 10–90°, in order of rising 2θ:
| Position (°2θ) | Rel. int. |
| --- | --- |
| 12.0 | 26 |
| 25.3 | 70 |
| 25.5 | 61 |
| 25.7 | 88 |
| 26.9 | 24 |
| 27.1 | 32 |
| 28.2 | 27 |
| 28.4 | 100 |
| 31.7 | 21 |
| 44.3 | 38 |
| 47.0 | 33 |
| 47.1 | 30 |

```
data_YbGa6Te10
_chemical_formula_sum 'Yb4 Ga24 Te40'
_symmetry_space_group_name_H-M 'C 1 2 1'
_symmetry_Int_Tables_number 5
_cell_length_a 15.000
_cell_length_b 14.664
_cell_length_c 10.411
_cell_angle_alpha 90.00
_cell_angle_beta 90.47
_cell_angle_gamma 90.00
loop_
_symmetry_equiv_pos_as_xyz
'x,y,z'
'-x,y,-z'
'x+1/2,y+1/2,z'
'-x+1/2,y+1/2,-z'
loop_
_atom_site_label
_atom_site_type_symbol
_atom_site_fract_x
_atom_site_fract_y
_atom_site_fract_z
Yb1 Yb 0.128 0.000 0.250
Ga1 Ga 0.043 0.335 0.163
Ga2 Ga 0.048 0.825 0.667
Ga3 Ga 0.143 0.142 0.926
Ga4 Ga 0.205 0.761 0.376
Ga5 Ga 0.219 0.474 0.338
Ga6 Ga 0.246 0.710 0.750
Te1 Te 0.000 0.043 0.000
Te2 Te 0.000 0.955 0.500
Te3 Te 0.062 0.502 0.241
Te4 Te 0.089 0.789 0.185
Te5 Te 0.090 0.210 0.337
Te6 Te 0.121 0.674 0.567
Te7 Te 0.126 0.322 0.931
Te8 Te 0.175 0.125 0.672
Te9 Te 0.183 0.874 0.826
Te10 Te 0.211 0.417 0.583
Te11 Te 0.221 0.586 0.930
```